1.
This entry pairs a crystal structure of TbDy7Tm2 with its theoretical XRD peak list. Radiation: a wavelength of 1.5418 Å. Structure: a DFT-relaxed cell (PBE, Alexandria).

Atomic structure:
```
data_TbDy7Tm2
_cell_length_a 9.3954
_cell_length_b 9.3954
_cell_length_c 9.3954
_cell_angle_alpha 146.62
_cell_angle_beta 136.47
_cell_angle_gamma 55.94
_space_group_name_H-M_alt 'P 1'
_space_group_IT_number 1
_space_group_name_Hall 'P 1'
loop_
_atom_site_label
_atom_site_type_symbol
_atom_site_fract_x
_atom_site_fract_y
_atom_site_fract_z
Tb1 Tb 0.0000 0.0000 0.0000
Dy1 Dy 0.1406 0.3900 0.7506
Dy2 Dy 0.1996 0.1996 0.0000
Dy3 Dy 0.3606 0.6100 0.7506
Dy4 Dy 0.5000 0.0000 0.5000
Dy5 Dy 0.6394 0.3900 0.2494
Dy6 Dy 0.8004 0.8004 0.0000
Dy7 Dy 0.8594 0.6100 0.2494
Tm1 Tm 0.3007 0.8007 0.5000
Tm2 Tm 0.6993 0.1993 0.5000
```

Most intense lines, 5 to 70 degrees two-theta, in order of falling intensity:
2θ (°)	Rel. int.
31.6	100
31.0	87
33.2	46
33.6	42
47.9	31
62.6	29
58.3	18
59.2	18
34.7	17
41.7	16

2.
This entry pairs a crystal structure of Tb4Dy7Tm with its theoretical XRD peak list. Radiation: a wavelength of 1.5418 Å. Structure: a DFT-relaxed cell (PBE, Alexandria).

Atomic structure:
```
data_Tb4Dy7Tm
_cell_length_a 6.4652
_cell_length_b 6.7615
_cell_length_c 9.0041
_cell_angle_alpha 85.97
_cell_angle_beta 76.98
_cell_angle_gamma 82.18
_space_group_name_H-M_alt 'P 1'
_space_group_IT_number 1
_space_group_name_Hall 'P 1'
loop_
_atom_site_label
_atom_site_type_symbol
_atom_site_fract_x
_atom_site_fract_y
_atom_site_fract_z
Tb1 Tb 0.1408 0.3062 0.2835
Tb2 Tb 0.3408 0.8848 0.6900
Tb3 Tb 0.6592 0.1152 0.3100
Tb4 Tb 0.8592 0.6938 0.7165
Dy1 Dy 0.0122 0.2524 0.9486
Dy2 Dy 0.1857 0.7988 0.3594
Dy3 Dy 0.3083 0.3950 0.6145
Dy4 Dy 0.5000 0.0000 0.0000
Dy5 Dy 0.6917 0.6050 0.3855
Dy6 Dy 0.8143 0.2012 0.6406
Dy7 Dy 0.9878 0.7476 0.0514
Tm1 Tm 0.5000 0.5000 0.0000
```

Most intense lines, 5 to 70 degrees two-theta, in order of falling intensity:
2θ (°)	Rel. int.
31.9	100
32.4	51
31.3	37
30.6	35
32.7	33
57.5	20
32.9	13
47.3	13
64.8	12
43.2	11

3.
This entry pairs a crystal structure of TbDy2Tm4 with its theoretical XRD peak list. Radiation: a wavelength of 1.5418 Å. Structure: a DFT-relaxed cell (PBE, Alexandria).

Atomic structure:
```
data_TbDy2Tm4
_cell_length_a 19.6935
_cell_length_b 19.6935
_cell_length_c 19.6935
_cell_angle_alpha 10.38
_cell_angle_beta 10.38
_cell_angle_gamma 10.38
_space_group_name_H-M_alt 'P 1'
_space_group_IT_number 1
_space_group_name_Hall 'P 1'
loop_
_atom_site_label
_atom_site_type_symbol
_atom_site_fract_x
_atom_site_fract_y
_atom_site_fract_z
Tb1 Tb 0.0000 0.0000 0.0000
Dy1 Dy 0.8088 0.8088 0.8088
Dy2 Dy 0.9043 0.9043 0.9043
Tm1 Tm 0.0946 0.0946 0.0946
Tm2 Tm 0.1898 0.1898 0.1898
Tm3 Tm 0.6187 0.6187 0.6187
Tm4 Tm 0.7145 0.7145 0.7145
```

Most intense lines, 5 to 70 degrees two-theta, in order of falling intensity:
2θ (°)	Rel. int.
32.8	100
33.5	97
32.0	53
61.7	48
51.3	42
29.0	34
57.0	20
58.5	20
62.7	16
62.2	16

4.
This entry pairs a crystal structure of Tb15DyTm4 with its theoretical XRD peak list. Radiation: a wavelength of 1.5418 Å. Structure: a DFT-relaxed cell (PBE, Alexandria).

Atomic structure:
```
data_Tb15DyTm4
_cell_length_a 5.0059
_cell_length_b 5.0059
_cell_length_c 25.0008
_cell_angle_alpha 90.00
_cell_angle_beta 90.00
_cell_angle_gamma 90.00
_space_group_name_H-M_alt 'P 1'
_space_group_IT_number 1
_space_group_name_Hall 'P 1'
loop_
_atom_site_label
_atom_site_type_symbol
_atom_site_fract_x
_atom_site_fract_y
_atom_site_fract_z
Tb1 Tb 0.0000 0.0000 0.0000
Tb2 Tb 0.0000 0.0000 0.2004
Tb3 Tb 0.0000 0.0000 0.4000
Tb4 Tb 0.0000 0.0000 0.6000
Tb5 Tb 0.0000 0.0000 0.7996
Tb6 Tb 0.0000 0.5000 0.1004
Tb7 Tb 0.0000 0.5000 0.3001
Tb8 Tb 0.0000 0.5000 0.5000
Tb9 Tb 0.0000 0.5000 0.6999
Tb10 Tb 0.0000 0.5000 0.8996
Tb11 Tb 0.5000 0.0000 0.1004
Tb12 Tb 0.5000 0.0000 0.3001
Tb13 Tb 0.5000 0.0000 0.5000
Tb14 Tb 0.5000 0.0000 0.6999
Tb15 Tb 0.5000 0.0000 0.8996
Dy1 Dy 0.5000 0.5000 0.0000
Tm1 Tm 0.5000 0.5000 0.2002
Tm2 Tm 0.5000 0.5000 0.4000
Tm3 Tm 0.5000 0.5000 0.6000
Tm4 Tm 0.5000 0.5000 0.7998
```

Most intense lines, 5 to 70 degrees two-theta, in order of falling intensity:
2θ (°)	Rel. int.
31.0	100
35.9	51
61.5	43
51.7	36
64.5	12

5.
This entry pairs a crystal structure of TbDy5Tm2 with its theoretical XRD peak list. Radiation: a wavelength of 1.5418 Å. Structure: a DFT-relaxed cell (PBE, Alexandria).

Atomic structure:
```
data_TbDy5Tm2
_cell_length_a 7.0477
_cell_length_b 14.0970
_cell_length_c 4.9771
_cell_angle_alpha 90.00
_cell_angle_beta 90.00
_cell_angle_gamma 90.00
_space_group_name_H-M_alt 'P 1'
_space_group_IT_number 1
_space_group_name_Hall 'P 1'
loop_
_atom_site_label
_atom_site_type_symbol
_atom_site_fract_x
_atom_site_fract_y
_atom_site_fract_z
Tb1 Tb 0.0000 0.0000 0.0000
Tb2 Tb 0.5000 0.5000 0.0000
Dy1 Dy 0.0000 0.5000 0.0000
Dy2 Dy 0.0008 0.2501 0.0000
Dy3 Dy 0.2494 0.6251 0.5000
Dy4 Dy 0.2506 0.1251 0.5000
Dy5 Dy 0.4992 0.7501 0.0000
Dy6 Dy 0.5000 0.0000 0.0000
Dy7 Dy 0.5008 0.2499 0.0000
Dy8 Dy 0.7494 0.8749 0.5000
Dy9 Dy 0.7506 0.3749 0.5000
Dy10 Dy 0.9992 0.7499 0.0000
Tm1 Tm 0.2505 0.3749 0.5000
Tm2 Tm 0.2495 0.8749 0.5000
Tm3 Tm 0.7505 0.1251 0.5000
Tm4 Tm 0.7495 0.6251 0.5000
```

Most intense lines, 5 to 70 degrees two-theta, in order of falling intensity:
2θ (°)	Rel. int.
31.1	100
36.1	51
61.8	43
51.9	36
64.8	12

6.
This entry pairs a crystal structure of Tb2Dy12Tm with its theoretical XRD peak list. Radiation: a wavelength of 1.5418 Å. Structure: a DFT-relaxed cell (PBE, Alexandria).

Atomic structure:
```
data_Tb2Dy12Tm
_cell_length_a 6.5921
_cell_length_b 6.5921
_cell_length_c 24.2254
_cell_angle_alpha 92.23
_cell_angle_beta 92.23
_cell_angle_gamma 115.10
_space_group_name_H-M_alt 'P 1'
_space_group_IT_number 1
_space_group_name_Hall 'P 1'
loop_
_atom_site_label
_atom_site_type_symbol
_atom_site_fract_x
_atom_site_fract_y
_atom_site_fract_z
Tb1 Tb 0.0634 0.0634 0.2716
Tb2 Tb 0.4300 0.4300 0.7282
Tb3 Tb 0.5700 0.5700 0.2718
Tb4 Tb 0.9366 0.9366 0.7284
Dy1 Dy 0.0421 0.5548 0.2005
Dy2 Dy 0.0845 0.5795 0.3296
Dy3 Dy 0.1388 0.6374 0.5554
Dy4 Dy 0.1424 0.1424 0.5751
Dy5 Dy 0.2181 0.2181 0.8678
Dy6 Dy 0.2324 0.7328 0.9269
Dy7 Dy 0.2672 0.7676 0.0731
Dy8 Dy 0.2840 0.2840 0.1401
Dy9 Dy 0.3565 0.3565 0.4267
Dy10 Dy 0.3626 0.8612 0.4446
Dy11 Dy 0.4205 0.9155 0.6704
Dy12 Dy 0.4452 0.9579 0.7995
Dy13 Dy 0.5548 0.0421 0.2005
Dy14 Dy 0.5795 0.0845 0.3296
Dy15 Dy 0.6374 0.1388 0.5554
Dy16 Dy 0.6435 0.6435 0.5733
Dy17 Dy 0.7160 0.7160 0.8599
Dy18 Dy 0.7328 0.2324 0.9269
Dy19 Dy 0.7676 0.2672 0.0731
Dy20 Dy 0.7819 0.7819 0.1322
Dy21 Dy 0.8576 0.8576 0.4249
Dy22 Dy 0.8612 0.3626 0.4446
Dy23 Dy 0.9155 0.4205 0.6704
Dy24 Dy 0.9579 0.4452 0.7995
Tm1 Tm 0.2509 0.2509 0.0035
Tm2 Tm 0.7491 0.7491 0.9965
```

Most intense lines, 5 to 70 degrees two-theta, in order of falling intensity:
2θ (°)	Rel. int.
30.5	100
32.2	70
32.7	63
31.4	49
33.8	39
46.4	27
62.2	21
61.2	19
51.7	19
32.5	18

7.
This entry pairs a crystal structure of Tb2Dy6Tm3 with its theoretical XRD peak list. Radiation: a wavelength of 1.5418 Å. Structure: a DFT-relaxed cell (PBE, Alexandria).

Atomic structure:
```
data_Tb2Dy6Tm3
_cell_length_a 16.7884
_cell_length_b 16.7884
_cell_length_c 16.7884
_cell_angle_alpha 163.97
_cell_angle_beta 163.97
_cell_angle_gamma 22.75
_space_group_name_H-M_alt 'P 1'
_space_group_IT_number 1
_space_group_name_Hall 'P 1'
loop_
_atom_site_label
_atom_site_type_symbol
_atom_site_fract_x
_atom_site_fract_y
_atom_site_fract_z
Tb1 Tb 0.0458 0.0458 0.0000
Tb2 Tb 0.9542 0.9542 0.0000
Dy1 Dy 0.1215 0.6215 0.5000
Dy2 Dy 0.1971 0.1971 0.0000
Dy3 Dy 0.3785 0.8785 0.5000
Dy4 Dy 0.6215 0.1215 0.5000
Dy5 Dy 0.8029 0.8029 0.0000
Dy6 Dy 0.8785 0.3785 0.5000
Tm1 Tm 0.3004 0.3004 0.0000
Tm2 Tm 0.5000 0.5000 0.0000
Tm3 Tm 0.6996 0.6996 0.0000
```

Most intense lines, 5 to 70 degrees two-theta, in order of falling intensity:
2θ (°)	Rel. int.
29.1	100
34.8	77
38.5	61
51.3	25
63.1	25
67.2	23
32.6	23
63.9	22
55.5	21
26.9	19

8.
This entry pairs a crystal structure of Tb3Dy9Tm2 with its theoretical XRD peak list. Radiation: a wavelength of 1.5418 Å. Structure: a DFT-relaxed cell (PBE, Alexandria).

Atomic structure:
```
data_Tb3Dy9Tm2
_cell_length_a 6.2265
_cell_length_b 8.6212
_cell_length_c 8.7564
_cell_angle_alpha 79.83
_cell_angle_beta 75.69
_cell_angle_gamma 87.23
_space_group_name_H-M_alt 'P 1'
_space_group_IT_number 1
_space_group_name_Hall 'P 1'
loop_
_atom_site_label
_atom_site_type_symbol
_atom_site_fract_x
_atom_site_fract_y
_atom_site_fract_z
Tb1 Tb 0.0000 0.0000 0.0000
Tb2 Tb 0.1656 0.3338 0.1963
Tb3 Tb 0.4777 0.7492 0.5552
Dy1 Dy 0.0349 0.7560 0.3678
Dy2 Dy 0.1429 0.0643 0.5610
Dy3 Dy 0.2550 0.3739 0.7675
Dy4 Dy 0.3234 0.6783 0.9708
Dy5 Dy 0.4431 0.9716 0.1700
Dy6 Dy 0.5780 0.0379 0.7703
Dy7 Dy 0.7008 0.5935 0.2025
Dy8 Dy 0.7129 0.1275 0.3669
Dy9 Dy 0.8907 0.6999 0.7833
Tm1 Tm 0.6945 0.3289 0.9689
Tm2 Tm 0.8199 0.4058 0.5680
```

Most intense lines, 5 to 70 degrees two-theta, in order of falling intensity:
2θ (°)	Rel. int.
31.9	100
33.6	53
31.6	48
34.8	35
31.5	25
31.6	22
41.6	15
49.2	15
63.0	14
63.2	13

9.
This entry pairs a crystal structure of Tb7Dy2Tm4 with its theoretical XRD peak list. Radiation: a wavelength of 1.5418 Å. Structure: a DFT-relaxed cell (PBE, Alexandria).

Atomic structure:
```
data_Tb7Dy2Tm4
_cell_length_a 6.0404
_cell_length_b 6.0404
_cell_length_c 13.0698
_cell_angle_alpha 90.00
_cell_angle_beta 90.00
_cell_angle_gamma 120.00
_space_group_name_H-M_alt 'P 1'
_space_group_IT_number 1
_space_group_name_Hall 'P 1'
loop_
_atom_site_label
_atom_site_type_symbol
_atom_site_fract_x
_atom_site_fract_y
_atom_site_fract_z
Tb1 Tb 0.0000 0.0000 0.0000
Tb2 Tb 0.0000 0.3613 0.2191
Tb3 Tb 0.0000 0.6387 0.7809
Tb4 Tb 0.3613 0.0000 0.2191
Tb5 Tb 0.3613 0.3613 0.7809
Tb6 Tb 0.6387 0.0000 0.7809
Tb7 Tb 0.6387 0.6387 0.2191
Dy1 Dy 0.3333 0.6667 0.0000
Dy2 Dy 0.6667 0.3333 0.0000
Tm1 Tm 0.0000 0.0000 0.3936
Tm2 Tm 0.0000 0.0000 0.6064
Tm3 Tm 0.3333 0.6667 0.5000
Tm4 Tm 0.6667 0.3333 0.5000
```

Most intense lines, 5 to 70 degrees two-theta, in order of falling intensity:
2θ (°)	Rel. int.
32.7	100
30.4	43
36.2	30
52.5	29
27.3	21
51.7	17
29.6	17
32.3	16
34.3	16
63.2	14

10.
This entry pairs a crystal structure of Tb4Dy3Tm2 with its theoretical XRD peak list. Radiation: a wavelength of 1.5418 Å. Structure: a DFT-relaxed cell (PBE, Alexandria).

Atomic structure:
```
data_Tb4Dy3Tm2
_cell_length_a 10.0652
_cell_length_b 10.0652
_cell_length_c 5.9396
_cell_angle_alpha 95.75
_cell_angle_beta 95.75
_cell_angle_gamma 69.67
_space_group_name_H-M_alt 'P 1'
_space_group_IT_number 1
_space_group_name_Hall 'P 1'
loop_
_atom_site_label
_atom_site_type_symbol
_atom_site_fract_x
_atom_site_fract_y
_atom_site_fract_z
Tb1 Tb 0.0461 0.8259 0.9516
Tb2 Tb 0.1628 0.3813 0.1158
Tb3 Tb 0.1741 0.9539 0.5484
Tb4 Tb 0.3813 0.1628 0.6158
Tb5 Tb 0.6187 0.8372 0.3842
Tb6 Tb 0.8259 0.0461 0.4516
Tb7 Tb 0.8372 0.6187 0.8842
Tb8 Tb 0.9539 0.1741 0.0484
Dy1 Dy 0.0152 0.3209 0.5822
Dy2 Dy 0.3209 0.0152 0.0822
Dy3 Dy 0.3474 0.6526 0.2500
Dy4 Dy 0.6526 0.3474 0.7500
Dy5 Dy 0.6791 0.9848 0.9178
Dy6 Dy 0.9848 0.6791 0.4178
Tm1 Tm 0.2899 0.5052 0.7086
Tm2 Tm 0.4948 0.7101 0.7914
Tm3 Tm 0.5052 0.2899 0.2086
Tm4 Tm 0.7101 0.4948 0.2914
```

Most intense lines, 5 to 70 degrees two-theta, in order of falling intensity:
2θ (°)	Rel. int.
31.1	100
32.1	93
30.5	58
37.9	31
38.4	26
56.6	20
50.7	13
28.7	12
58.8	12
51.9	11

11.
This entry pairs a crystal structure of Tb3DyTm8 with its theoretical XRD peak list. Radiation: a wavelength of 1.5418 Å. Structure: a DFT-relaxed cell (PBE, Alexandria).

Atomic structure:
```
data_Tb3DyTm8
_cell_length_a 9.3094
_cell_length_b 9.3094
_cell_length_c 9.3094
_cell_angle_alpha 131.88
_cell_angle_beta 131.88
_cell_angle_gamma 70.42
_space_group_name_H-M_alt 'P 1'
_space_group_IT_number 1
_space_group_name_Hall 'P 1'
loop_
_atom_site_label
_atom_site_type_symbol
_atom_site_fract_x
_atom_site_fract_y
_atom_site_fract_z
Tb1 Tb 0.0000 0.0000 0.0000
Tb2 Tb 0.2500 0.7500 0.5000
Tb3 Tb 0.7500 0.2500 0.5000
Dy1 Dy 0.5000 0.5000 0.0000
Tm1 Tm 0.1253 0.1253 0.5004
Tm2 Tm 0.1253 0.6249 0.0000
Tm3 Tm 0.3751 0.3751 0.5004
Tm4 Tm 0.3751 0.8747 0.0000
Tm5 Tm 0.6249 0.1253 0.0000
Tm6 Tm 0.6249 0.6249 0.4996
Tm7 Tm 0.8747 0.3751 0.0000
Tm8 Tm 0.8747 0.8747 0.4996
```

Most intense lines, 5 to 70 degrees two-theta, in order of falling intensity:
2θ (°)	Rel. int.
33.4	100
59.6	38
20.2	24
23.4	16
39.3	13
47.9	12
54.0	7
47.8	6
52.5	6
41.2	5

12.
This entry pairs a crystal structure of Tb12Dy5Tm with its theoretical XRD peak list. Radiation: a wavelength of 1.5418 Å. Structure: a DFT-relaxed cell (PBE, Alexandria).

Atomic structure:
```
data_Tb12Dy5Tm
_cell_length_a 10.6296
_cell_length_b 10.6296
_cell_length_c 5.0111
_cell_angle_alpha 90.00
_cell_angle_beta 90.00
_cell_angle_gamma 90.08
_space_group_name_H-M_alt 'P 1'
_space_group_IT_number 1
_space_group_name_Hall 'P 1'
loop_
_atom_site_label
_atom_site_type_symbol
_atom_site_fract_x
_atom_site_fract_y
_atom_site_fract_z
Tb1 Tb 0.9997 0.3326 0.5000
Tb2 Tb 0.0003 0.6674 0.5000
Tb3 Tb 0.1660 0.1660 0.0000
Tb4 Tb 0.1666 0.5001 0.0000
Tb5 Tb 0.3326 0.9997 0.5000
Tb6 Tb 0.3333 0.3333 0.5000
Tb7 Tb 0.5001 0.1666 0.0000
Tb8 Tb 0.4999 0.8334 0.0000
Tb9 Tb 0.6674 0.0003 0.5000
Tb10 Tb 0.6667 0.6667 0.5000
Tb11 Tb 0.8334 0.4999 0.0000
Tb12 Tb 0.8340 0.8340 0.0000
Dy1 Dy 0.1663 0.8337 0.0000
Dy2 Dy 0.3333 0.6667 0.5000
Dy3 Dy 0.5000 0.5000 0.0000
Dy4 Dy 0.6667 0.3333 0.5000
Dy5 Dy 0.8337 0.1663 0.0000
Tm1 Tm 0.0000 0.0000 0.5000
```

Most intense lines, 5 to 70 degrees two-theta, in order of falling intensity:
2θ (°)	Rel. int.
30.9	100
35.8	51
61.4	43
51.6	36
64.4	12